Structure and computed XRD peak list of AuSe (a cell relaxed with PBE; copper Kα).
Kinematic intensities with the Lorentz-polarization factor, no thermal factor.

Peak list (10 most intense, 2θ from 5° to 70°, sorted by position)
| Position (°2θ) | Rel. int. | hkl |
| --- | --- | --- |
| 19.25 | 84 | 2 0 0 |
| 28.24 | 33 | 1 1 -1 |
| 30.41 | 45 | 2 0 -2 |
| 30.56 | 100 | 1 1 1 |
| 37.90 | 30 | 3 1 -1 |
| 42.74 | 22 | 4 0 -2 |
| 43.16 | 41 | 3 1 1 |
| 48.85 | 34 | 1 1 -3 |
| 52.71 | 27 | 3 1 -3 |
| 54.18 | 25 | 5 1 -1 |

Structural model:
abc: 9.5015 3.7482 6.4486
angles: 90.00 103.97 90.00
Fractional positions:
Au (0.0000, 0.0000, 0.0000)
Au (0.0000, 0.5000, 0.5000)
Au (0.5000, 0.0000, 0.5000)
Au (0.5000, 0.5000, 0.0000)
Se (0.1368, 0.0000, 0.7240)
Se (0.3632, 0.5000, 0.2760)
Se (0.6368, 0.5000, 0.7240)
Se (0.8632, 0.0000, 0.2760)